# 1
Structure and theoretical XRD peak list of Zr4Ta2S3N3 (a PBE-relaxed structure; Cu Kα X-rays).

Top 8 peaks for 2θ from 5° to 70°, in order of rising 2θ:
(0 0 2), 2θ 14.9, intensity 16; (0 2 0), 2θ 30.9, intensity 26; (3 1 -2), 2θ 31.8, intensity 25; (3 1 -4), 2θ 38.5, intensity 100; (0 0 6), 2θ 45.7, intensity 11; (6 0 -2), 2θ 54.9, intensity 26; (3 1 -7), 2θ 56.1, intensity 11; (0 4 3), 2θ 69.0, intensity 11

Structure:
```
data_Zr4Ta2S3N3
_chemical_formula_sum 'Zr16 Ta8 S12 N12'
_space_group_name_H-M_alt 'C 1 2/c 1'
_space_group_IT_number 15
_space_group_name_Hall '-C 2yc'
_cell_length_a 10.0282
_cell_length_b 5.7992
_cell_length_c 12.3774
_cell_angle_alpha 90.00
_cell_angle_beta 105.63
_cell_angle_gamma 90.00
loop_
_atom_site_label
_atom_site_fract_x
_atom_site_fract_y
_atom_site_fract_z
_atom_site_occupancy
Zr1 0.1177 0.0814 0.1013 1
Zr2 0.2155 0.0838 0.3987 1
Ta1 0.0549 0.4163 0.9120 1
S1 0.0000 0.1033 0.7500 1
S2 0.1570 0.4254 0.2493 1
N1 0.0818 0.2534 0.4998 1
N2 0.2500 0.2500 0.0000 1
```

# 2
Structure and theoretical XRD peak list of GdDy2Mg3Ir3 (a PBE-relaxed structure; Cu Kα X-rays).

Top 8 peaks for 2θ from 5° to 70°, in order of rising 2θ:
(0 3 1), 2θ 24.5, intensity 52; (1 1 1), 2θ 26.1, intensity 28; (1 0 2), 2θ 33.1, intensity 70; (1 2 2), 2θ 36.1, intensity 100; (0 3 3), 2θ 43.1, intensity 40; (1 5 1), 2θ 44.1, intensity 37; (2 3 3), 2θ 63.8, intensity 25; (1 8 2), 2θ 69.0, intensity 26

Structure:
```
data_GdDy2Mg3Ir3
_chemical_formula_sum 'Gd2 Dy4 Mg6 Ir6'
_space_group_name_H-M_alt 'A m m 2'
_space_group_IT_number 38
_space_group_name_Hall 'A 2 -2'
_cell_length_a 4.0591
_cell_length_b 12.5929
_cell_length_c 7.2657
_cell_angle_alpha 90.00
_cell_angle_beta 90.00
_cell_angle_gamma 90.00
loop_
_atom_site_label
_atom_site_fract_x
_atom_site_fract_y
_atom_site_fract_z
_atom_site_occupancy
Gd1 0.0000 0.0000 0.0000 1
Dy1 0.0000 0.2046 0.3855 1
Mg1 0.5000 0.0000 0.3462 1
Mg2 0.5000 0.1224 0.7118 1
Ir1 0.0000 0.0000 0.5888 1
Ir2 0.5000 0.1676 0.0904 1
```

# 3
Structure and theoretical XRD peak list of Li4GePtO6 (a PBE-relaxed structure; Cu Kα X-rays).

Top 8 peaks for 2θ from 5° to 70°, in order of rising 2θ:
(0 0 1), 2θ 18.7, intensity 100; (0 2 0), 2θ 20.2, intensity 31; (1 1 0), 2θ 21.1, intensity 55; (1 1 -1), 2θ 23.7, intensity 42; (0 2 1), 2θ 27.6, intensity 29; (1 3 0), 2θ 35.8, intensity 52; (1 3 -1), 2θ 37.5, intensity 39; (1 3 1), 2θ 43.8, intensity 44

Structure:
```
data_Li4GePtO6
_chemical_formula_sum 'Li8 Ge2 Pt2 O12'
_space_group_name_H-M_alt 'C 1 2 1'
_space_group_IT_number 5
_space_group_name_Hall 'C 2y'
_cell_length_a 5.0918
_cell_length_b 8.8094
_cell_length_c 5.0544
_cell_angle_alpha 90.00
_cell_angle_beta 109.85
_cell_angle_gamma 90.00
loop_
_atom_site_label
_atom_site_fract_x
_atom_site_fract_y
_atom_site_fract_z
_atom_site_occupancy
Li1 0.0000 0.0000 0.0000 1
Li2 0.0000 0.1607 0.5000 1
Li3 0.0000 0.3224 0.0000 1
Li4 0.0000 0.6596 0.0000 1
Ge1 0.0000 0.8280 0.5000 1
Pt1 0.0000 0.4940 0.5000 1
O1 0.2266 0.6688 0.7326 1
O2 0.2349 0.8320 0.2718 1
O3 0.2414 0.9810 0.7312 1
```

# 4
Structure and theoretical XRD peak list of NdGdCd6Ge3 (a PBE-relaxed structure; Cu Kα X-rays).

Top 8 peaks for 2θ from 5° to 70°, in order of rising 2θ:
(1 1 1), 2θ 30.0, intensity 100; (2 0 1), 2θ 32.6, intensity 16; (2 1 0), 2θ 33.1, intensity 33; (3 0 0), 2θ 37.6, intensity 28; (2 1 1), 2θ 39.4, intensity 86; (0 0 2), 2θ 42.3, intensity 28; (3 0 2), 2θ 57.9, intensity 16; (4 1 1), 2θ 63.3, intensity 23

Structure:
```
data_NdGdCd6Ge3
_chemical_formula_sum 'Nd1 Gd1 Cd6 Ge3'
_space_group_name_H-M_alt 'P -6'
_space_group_IT_number 174
_space_group_name_Hall 'P -6'
_cell_length_a 8.2782
_cell_length_b 8.2782
_cell_length_c 4.2764
_cell_angle_alpha 90.00
_cell_angle_beta 90.00
_cell_angle_gamma 120.00
loop_
_atom_site_label
_atom_site_fract_x
_atom_site_fract_y
_atom_site_fract_z
_atom_site_occupancy
Nd1 0.0000 0.0000 0.0000 1
Gd1 0.6667 0.3333 0.0000 1
Cd1 0.0574 0.6810 0.5000 1
Cd2 0.1261 0.4693 0.0000 1
Ge1 0.3465 0.0752 0.5000 1
```

# 5
Structure and theoretical XRD peak list of Er2Co12Ni5 (a PBE-relaxed structure; Cu Kα X-rays).

Top 8 peaks for 2θ from 5° to 70°, in order of rising 2θ:
(1 1 2), 2θ 31.2, intensity 42; (3 0 0), 2θ 37.8, intensity 43; (2 0 3), 2θ 42.4, intensity 47; (2 2 0), 2θ 43.9, intensity 69; (3 0 2), 2θ 44.3, intensity 100; (0 0 4), 2θ 45.5, intensity 32; (2 2 2), 2θ 49.8, intensity 19; (4 1 2), 2θ 64.1, intensity 18

Structure:
```
data_Er2Co12Ni5
_chemical_formula_sum 'Er4 Co24 Ni10'
_space_group_name_H-M_alt 'P 63/m m c'
_space_group_IT_number 194
_space_group_name_Hall '-P 6c 2c'
_cell_length_a 8.2493
_cell_length_b 8.2493
_cell_length_c 7.9780
_cell_angle_alpha 90.00
_cell_angle_beta 90.00
_cell_angle_gamma 120.00
loop_
_atom_site_label
_atom_site_fract_x
_atom_site_fract_y
_atom_site_fract_z
_atom_site_occupancy
Er1 0.0000 0.0000 0.2500 1
Er2 0.3333 0.6667 0.2500 1
Co1 0.0484 0.3746 0.7500 1
Co2 0.1626 0.3252 0.0248 1
Ni1 0.0000 0.5000 0.0000 1
Ni2 0.3333 0.6667 0.5989 1
```

# 6
Structure and theoretical XRD peak list of PrSmGa2 (a PBE-relaxed structure; Cu Kα X-rays).

Top 8 peaks for 2θ from 5° to 70°, in order of rising 2θ:
(1 0 2), 2θ 26.5, intensity 24; (1 1 1), 2θ 30.3, intensity 100; (0 1 3), 2θ 31.0, intensity 48; (0 0 4), 2θ 31.6, intensity 24; (1 1 3), 2θ 37.9, intensity 51; (1 0 4), 2θ 38.4, intensity 21; (0 2 0), 2θ 40.4, intensity 26; (2 0 0), 2θ 43.3, intensity 22

Structure:
```
data_PrSmGa2
_chemical_formula_sum 'Pr2 Sm2 Ga4'
_space_group_name_H-M_alt 'A m m 2'
_space_group_IT_number 38
_space_group_name_Hall 'A 2 -2'
_cell_length_a 4.1769
_cell_length_b 4.4668
_cell_length_c 11.3164
_cell_angle_alpha 90.00
_cell_angle_beta 90.00
_cell_angle_gamma 90.00
loop_
_atom_site_label
_atom_site_fract_x
_atom_site_fract_y
_atom_site_fract_z
_atom_site_occupancy
Pr1 0.0000 0.0000 0.0000 1
Sm1 0.5000 0.0000 0.7181 1
Ga1 0.0000 0.0000 0.2848 1
Ga2 0.5000 0.0000 0.4276 1
```

# 7
Structure and theoretical XRD peak list of Nb2Te6I (a PBE-relaxed structure; Cu Kα X-rays).

Top 8 peaks for 2θ from 5° to 70°, in order of rising 2θ:
(0 2 0), 2θ 12.7, intensity 100; (1 1 -1), 2θ 12.8, intensity 88; (2 1 1), 2θ 26.9, intensity 77; (0 3 2), 2θ 27.5, intensity 81; (1 2 -3), 2θ 30.2, intensity 84; (3 1 -2), 2θ 30.3, intensity 74; (2 4 -1), 2θ 32.0, intensity 55; (2 3 1), 2θ 32.5, intensity 64

Structure:
```
data_Nb2Te6I
_chemical_formula_sum 'Nb8 Te24 I4'
_space_group_name_H-M_alt 'P 1 21/c 1'
_space_group_IT_number 14
_space_group_name_Hall '-P 2ybc'
_cell_length_a 9.3625
_cell_length_b 13.9815
_cell_length_c 9.8187
_cell_angle_alpha 90.00
_cell_angle_beta 112.75
_cell_angle_gamma 90.00
loop_
_atom_site_label
_atom_site_fract_x
_atom_site_fract_y
_atom_site_fract_z
_atom_site_occupancy
Nb1 0.0245 0.0249 0.3691 1
Nb2 0.3244 0.5078 0.3704 1
Te1 0.0459 0.0649 0.9095 1
Te2 0.1254 0.6877 0.2712 1
Te3 0.1504 0.1382 0.6430 1
Te4 0.2576 0.5985 0.0896 1
Te5 0.4157 0.5850 0.6614 1
Te6 0.4561 0.1624 0.0283 1
I1 0.3125 0.0815 0.3477 1
```

# 8
Structure and theoretical XRD peak list of PrPtC2 (a PBE-relaxed structure; Cu Kα X-rays).

Top 8 peaks for 2θ from 5° to 70°, in order of rising 2θ:
(1 1 -2), 2θ 29.8, intensity 100; (0 2 0), 2θ 31.7, intensity 25; (2 0 0), 2θ 32.6, intensity 63; (0 2 1), 2θ 33.8, intensity 58; (1 1 2), 2θ 34.9, intensity 90; (2 0 -2), 2θ 35.8, intensity 23; (2 2 -1), 2θ 45.8, intensity 38; (1 3 -3), 2θ 61.1, intensity 22

Structure:
```
data_PrPtC2
_chemical_formula_sum 'Pr4 Pt4 C8'
_space_group_name_H-M_alt 'C 1 c 1'
_space_group_IT_number 9
_space_group_name_Hall 'C -2yc'
_cell_length_a 5.6168
_cell_length_b 5.6468
_cell_length_c 7.9264
_cell_angle_alpha 90.00
_cell_angle_beta 102.37
_cell_angle_gamma 90.00
loop_
_atom_site_label
_atom_site_fract_x
_atom_site_fract_y
_atom_site_fract_z
_atom_site_occupancy
Pr1 0.0000 0.0768 0.0000 1
Pt1 0.0551 0.4249 0.6965 1
C1 0.3311 0.1837 0.7835 1
C2 0.4769 0.0877 0.9278 1
```

# 9
Structure and theoretical XRD peak list of MgPd2O4 (a PBE-relaxed structure; Cu Kα X-rays).

Top 8 peaks for 2θ from 5° to 70°, in order of rising 2θ:
(1 1 1), 2θ 17.6, intensity 100; (3 1 1), 2θ 34.1, intensity 99; (2 2 2), 2θ 35.7, intensity 42; (4 0 0), 2θ 41.4, intensity 59; (3 3 1), 2θ 45.4, intensity 19; (5 1 1), 2θ 54.7, intensity 36; (4 4 0), 2θ 60.1, intensity 52; (5 3 1), 2θ 63.1, intensity 18

Structure:
Cell: 8.7154 8.7154 8.7154 Å, 90.00 90.00 90.00°
Space group Fd-3m (No. 227, origin choice 2)
Asymmetric unit:
Mg (0.1250, 0.1250, 0.1250) x8
Pd (0.0000, 0.0000, 0.5000) x16
O (0.0078, 0.0078, 0.7422) x32

# 10
Structure and theoretical XRD peak list of SmCuSnSe3 (a PBE-relaxed structure; Cu Kα X-rays).

Top 8 peaks for 2θ from 5° to 70°, in order of rising 2θ:
(6 0 0), 2θ 29.4, intensity 32; (1 1 -2), 2θ 30.9, intensity 100; (5 1 -2), 2θ 36.6, intensity 24; (5 1 1), 2θ 36.7, intensity 26; (5 1 2), 2θ 43.4, intensity 19; (2 0 -4), 2θ 44.0, intensity 21; (0 2 0), 2θ 44.4, intensity 27; (4 0 4), 2θ 54.2, intensity 21

Structure:
```
data_SmCuSnSe3
_chemical_formula_sum 'Sm4 Cu4 Sn4 Se12'
_space_group_name_H-M_alt 'C 1 2/m 1'
_space_group_IT_number 12
_space_group_name_Hall '-C 2y'
_cell_length_a 18.7444
_cell_length_b 4.0798
_cell_length_c 8.2264
_cell_angle_alpha 90.00
_cell_angle_beta 103.50
_cell_angle_gamma 90.00
loop_
_atom_site_label
_atom_site_fract_x
_atom_site_fract_y
_atom_site_fract_z
_atom_site_occupancy
Sm1 0.1611 0.0000 0.0844 1
Cu1 0.0411 0.5000 0.2071 1
Sn1 0.1201 0.0000 0.5661 1
Se1 0.0000 0.0000 0.0000 1
Se2 0.0000 0.5000 0.5000 1
Se3 0.1727 0.5000 0.3381 1
Se4 0.1757 0.5000 0.8420 1
```

# 11
Structure and theoretical XRD peak list of SmAuSeO (a PBE-relaxed structure; Cu Kα X-rays).

Top 8 peaks for 2θ from 5° to 70°, in order of rising 2θ:
(1 0 0), 2θ 9.2, intensity 62; (2 0 0), 2θ 18.4, intensity 49; (2 1 1), 2θ 28.8, intensity 96; (0 0 2), 2θ 31.2, intensity 100; (1 2 0), 2θ 32.6, intensity 95; (3 1 1), 2θ 35.7, intensity 55; (2 2 0), 2θ 36.5, intensity 71; (1 2 2), 2θ 45.8, intensity 79

Structure:
```
data_SmAuSeO
_chemical_formula_sum 'Sm4 Au4 Se4 O4'
_space_group_name_H-M_alt 'A e m 2'
_space_group_IT_number 39
_space_group_name_Hall 'A 2 -2b'
_cell_length_a 9.6298
_cell_length_b 5.7213
_cell_length_c 5.7347
_cell_angle_alpha 90.00
_cell_angle_beta 90.00
_cell_angle_gamma 90.00
loop_
_atom_site_label
_atom_site_fract_x
_atom_site_fract_y
_atom_site_fract_z
_atom_site_occupancy
Sm1 0.1187 0.2500 0.0000 1
Au1 0.5000 0.0000 0.0009 1
Se1 0.2826 0.2500 0.5008 1
O1 0.0000 0.0000 0.2500 1
```

# 12
Structure and theoretical XRD peak list of Pd7Se4 (a PBE-relaxed structure; Cu Kα X-rays).

Top 8 peaks for 2θ from 5° to 70°, in order of rising 2θ:
(2 0 1), 2θ 30.6, intensity 36; (2 1 1), 2θ 31.8, intensity 61; (1 3 1), 2θ 33.6, intensity 100; (2 2 1), 2θ 35.3, intensity 55; (2 1 2), 2θ 43.2, intensity 48; (1 3 2), 2θ 44.6, intensity 59; (2 2 2), 2θ 46.0, intensity 36; (0 0 3), 2θ 50.4, intensity 53

Structure:
```
data_Pd7Se4
_chemical_formula_sum 'Pd14 Se8'
_space_group_name_H-M_alt 'P 21 21 2'
_space_group_IT_number 18
_space_group_name_Hall 'P 2 2ab'
_cell_length_a 6.9400
_cell_length_b 10.2381
_cell_length_c 5.4342
_cell_angle_alpha 90.00
_cell_angle_beta 90.00
_cell_angle_gamma 90.00
loop_
_atom_site_label
_atom_site_fract_x
_atom_site_fract_y
_atom_site_fract_z
_atom_site_occupancy
Pd1 0.0000 0.0000 0.1760 1
Pd2 0.0850 0.2253 0.4959 1
Pd3 0.1290 0.6319 0.8375 1
Pd4 0.1888 0.4160 0.1510 1
Se1 0.0000 0.0000 0.6703 1
Se2 0.0000 0.5000 0.5017 1
Se3 0.1757 0.7791 0.1826 1
```